The following is a computed powder diffractogram of KLi2PuCl6. It was derived from the GGA-PBE geometry in Alexandria, using Cu Kα, 1.54184 Å.
Neutral-atom scattering factors, no anomalous dispersion.

Structure:
a b c (Å): 6.914 6.986 7.409
angles (deg): 117.40 90.24 119.40
Element x y z (fractional)
K1 0.000 0.000 0.000
Li1 0.266 0.537 0.817
Li2 0.781 0.562 0.357
Pu1 0.476 0.960 0.443
Cl1 0.054 0.688 0.156
Cl2 0.187 0.729 0.635
Cl3 0.458 0.525 0.160
Cl4 0.543 0.442 0.638
Cl5 0.630 0.098 0.158
Cl6 0.901 0.099 0.639

Main lines, in order of rising 2θ (10 to 90 degrees two-theta):
- 14.1°, I = 40, (0 0 1)
- 15.4°, I = 100, (1 -1 0)
- 17.2°, I = 35, (0 1 0)
- 17.6°, I = 69, (1 0 -1)
- 23.9°, I = 44, (1 0 1)
- 24.1°, I = 22, (0 1 -2)
- 31.1°, I = 32, (0 2 -2)
- 38.2°, I = 31, (-1 2 1)